For La2Nd2CoAg2, the PBE geometry in Alexandria gives the computed powder X-ray diffraction pattern in this record (Cu Ka).
Peak positions follow from Bragg's law for the DFT cell and can differ from measured ones.

The 12 most intense peaks (2θ from 5° to 70°), low angle first:
2θ 27.2, d = 3.281 Å, I 129; 2θ 28.3, d = 3.152 Å, I 776; 2θ 29.7, d = 3.004 Å, I 367; 2θ 33.6, d = 2.668 Å, I 1000; 2θ 36.4, d = 2.470 Å, I 319; 2θ 37.0, d = 2.428 Å, I 274; 2θ 38.4, d = 2.345 Å, I 130; 2θ 39.2, d = 2.296 Å, I 328; 2θ 48.4, d = 1.882 Å, I 235; 2θ 50.0, d = 1.824 Å, I 189; 2θ 55.1, d = 1.668 Å, I 169; 2θ 62.2, d = 1.492 Å, I 165

Structural model:
Cell lengths 7.6777, 7.6777, 6.7744 Å; angles 116.11, 116.11, 34.80 degrees
Fractional coordinates of all 7 atoms:
La (0.2000, 0.2000, 0.2002)
La (0.8000, 0.8000, 0.7998)
Nd (0.4997, 0.4997, 0.2526)
Nd (0.5003, 0.5003, 0.7474)
Co (0.0000, 0.0000, 0.0000)
Ag (0.1215, 0.1215, 0.6210)
Ag (0.8785, 0.8785, 0.3790)